Calculated powder diffractogram of NpN for Cu Ka, from a PBE-relaxed structure.
Intensities are scaled so that the largest is 100.

Structural model:
a = 2.9947 Å, b = 2.9947 Å, c = 2.9947 Å
α = 90.00°, β = 90.00°, γ = 90.00°
Space group Pm-3m (No. 221)
Inequivalent atoms, fractional coordinates:
Np 0.0000 0.0000 0.0000 x1
N 0.5000 0.5000 0.5000 x1

The 6 most intense peaks (2θ = 15–90°), in order of rising 2θ:
29.83 deg, I = 100, hkl 1 0 0
42.70 deg, I = 98, hkl 1 1 0
52.96 deg, I = 29, hkl 1 1 1
61.98 deg, I = 16, hkl 2 0 0
70.29 deg, I = 38, hkl 2 1 0
78.18 deg, I = 34, hkl 2 1 1